Diffraction record for PmHoErTh2. The powder XRD pattern is simulated, not measured: it uses DFT lattice parameters and positions (GGA-PBE) and λ = 1.5418 Å (Cu Kα).
Neutral-atom scattering factors, no anomalous dispersion.

Main lines, in order of rising 2θ (2θ from 10° to 90°):
2θ 29.15, d = 3.063 Å, I 100, (2 2 0)
2θ 34.41, d = 2.606 Å, I 38, (0 6 0)
2θ 35.41, d = 2.535 Å, I 34, (2 4 0)
2θ 38.23, d = 2.354 Å, I 41, (2 0 2)
2θ 52.37, d = 1.747 Å, I 30, (2 6 2)
2θ 63.62, d = 1.463 Å, I 23, (2 2 4)

Atomic structure:
```
data_PmHoErTh2
_chemical_formula_sum 'Pm4 Ho4 Er4 Th8'
_space_group_name_H-M_alt 'C m c m'
_space_group_IT_number 63
_space_group_name_Hall '-C 2c 2'
_cell_length_a 6.6574
_cell_length_b 15.6432
_cell_length_c 6.6590
_cell_angle_alpha 90.00
_cell_angle_beta 90.00
_cell_angle_gamma 90.00
loop_
_atom_site_label
_atom_site_fract_x
_atom_site_fract_y
_atom_site_fract_z
_atom_site_occupancy
Pm1 0.0000 0.1523 0.2500 1
Ho1 0.0000 0.2598 0.7500 1
Er1 0.0000 0.3482 0.2500 1
Th1 0.2471 0.5000 0.0000 1
```



Diffraction record for Tl4Cd3In2. The powder XRD pattern is simulated, not measured: it uses DFT lattice parameters and positions (GGA-PBE) and λ = 1.5418 Å (Cu Kα).
Neutral-atom scattering factors, no anomalous dispersion.

Main lines, in order of rising 2θ (2θ from 10° to 90°):
2θ 31.41, d = 2.848 Å, I 53, (0 2 -2)
2θ 31.98, d = 2.799 Å, I 100, (0 2 2)
2θ 33.18, d = 2.700 Å, I 72, (1 0 -2)
2θ 33.73, d = 2.657 Å, I 57, (1 -1 1)
2θ 34.11, d = 2.629 Å, I 51, (1 2 0)
2θ 34.33, d = 2.612 Å, I 63, (1 1 3)

Atomic structure:
```
data_Tl4Cd3In2
_chemical_formula_sum 'Tl4 Cd3 In2'
_space_group_name_H-M_alt 'P -1'
_space_group_IT_number 2
_cell_length_a 3.3708
_cell_length_b 6.6691
_cell_length_c 11.6007
_cell_angle_alpha 89.57
_cell_angle_beta 83.37
_cell_angle_gamma 76.29
loop_
_space_group_symop_operation_xyz
'x,y,z'
'-x,-y,-z'
loop_
_atom_site_label
_atom_site_fract_x
_atom_site_fract_y
_atom_site_fract_z
_atom_site_occupancy
Tl1 0.2341 0.1469 0.3818 1
Tl2 0.2436 0.6128 0.8779 1
Cd1 0.0094 0.1655 0.8095 1
Cd2 0.5000 0.0000 0.0000 1
In1 0.4989 0.6183 0.3836 1
```



Diffraction record for LiPu3Ru4. The powder XRD pattern is simulated, not measured: it uses DFT lattice parameters and positions (GGA-PBE) and λ = 1.5418 Å (Cu Kα).
Neutral-atom scattering factors, no anomalous dispersion.

Main lines, in order of rising 2θ (2θ from 10° to 90°):
2θ 29.62, d = 3.016 Å, I 20, (2 0 1)
2θ 38.60, d = 2.332 Å, I 66, (1 1 -3)
2θ 38.76, d = 2.323 Å, I 100, (3 1 -1)
2θ 39.29, d = 2.293 Å, I 33, (0 2 0)
2θ 56.34, d = 1.633 Å, I 22, (2 2 2)
2θ 69.88, d = 1.346 Å, I 16, (6 0 -2)

Atomic structure:
```
data_LiPu3Ru4
_chemical_formula_sum 'Li2 Pu6 Ru8'
_space_group_name_H-M_alt 'C 1 2/m 1'
_space_group_IT_number 12
_cell_length_a 8.0790
_cell_length_b 4.5866
_cell_length_c 8.1262
_cell_angle_alpha 90.00
_cell_angle_beta 109.94
_cell_angle_gamma 90.00
loop_
_space_group_symop_operation_xyz
'x,y,z'
'-x,-y,-z'
'-x,y,-z'
'x,-y,z'
'x+1/2,y+1/2,z'
'-x+1/2,-y+1/2,-z'
'-x+1/2,y+1/2,-z'
'x+1/2,-y+1/2,z'
loop_
_atom_site_label
_atom_site_fract_x
_atom_site_fract_y
_atom_site_fract_z
_atom_site_occupancy
Li1 0.0000 0.0000 0.0000 1
Pu1 0.0000 0.5000 0.5000 1
Pu2 0.2405 0.5000 0.2294 1
Ru1 0.1219 0.0000 0.3646 1
Ru2 0.1288 0.5000 0.8766 1
```



Diffraction record for Pr3ZrSb4. The powder XRD pattern is simulated, not measured: it uses DFT lattice parameters and positions (GGA-PBE) and λ = 1.5418 Å (Cu Kα).
Neutral-atom scattering factors, no anomalous dispersion.

Main lines, in order of rising 2θ (2θ from 10° to 90°):
2θ 28.39, d = 3.144 Å, I 100, (1 2 1)
2θ 40.52, d = 2.226 Å, I 37, (0 4 0)
2θ 40.65, d = 2.220 Å, I 38, (1 2 -3)
2θ 50.22, d = 1.817 Å, I 20, (2 4 -2)
2θ 66.42, d = 1.408 Å, I 16, (1 6 1)
2θ 66.59, d = 1.404 Å, I 17, (3 2 -5)

Atomic structure:
```
data_Pr3ZrSb4
_chemical_formula_sum 'Pr6 Zr2 Sb8'
_space_group_name_H-M_alt 'P 1 2/c 1'
_space_group_IT_number 13
_cell_length_a 7.7063
_cell_length_b 8.9106
_cell_length_c 7.6818
_cell_angle_alpha 90.00
_cell_angle_beta 109.55
_cell_angle_gamma 90.00
loop_
_space_group_symop_operation_xyz
'x,y,z'
'-x,-y,-z'
'-x,y,-z+1/2'
'x,-y,z+1/2'
loop_
_atom_site_label
_atom_site_fract_x
_atom_site_fract_y
_atom_site_fract_z
_atom_site_occupancy
Pr1 0.0000 0.1243 0.2500 1
Pr2 0.0000 0.3737 0.7500 1
Pr3 0.5000 0.3740 0.2500 1
Zr1 0.5000 0.1261 0.7500 1
Sb1 0.2593 0.3652 0.5095 1
Sb2 0.2690 0.1150 0.0001 1
```



Diffraction record for Hg2SeCl2. The powder XRD pattern is simulated, not measured: it uses DFT lattice parameters and positions (GGA-PBE) and λ = 1.5418 Å (Cu Kα).
Neutral-atom scattering factors, no anomalous dispersion.

Main lines, in order of rising 2θ (2θ from 10° to 90°):
2θ 14.67, d = 6.040 Å, I 39, (1 1 0)
2θ 15.58, d = 5.689 Å, I 51, (0 1 1)
2θ 21.15, d = 4.201 Å, I 45, (1 0 -2)
2θ 27.55, d = 3.237 Å, I 38, (2 1 -2)
2θ 30.18, d = 2.961 Å, I 100, (2 2 -1)
2θ 30.54, d = 2.927 Å, I 43, (2 0 2)

Atomic structure:
```
data_Hg2SeCl2
_chemical_formula_sum 'Hg8 Se4 Cl8'
_space_group_name_H-M_alt 'P 1 21/c 1'
_space_group_IT_number 14
_cell_length_a 9.9766
_cell_length_b 7.6796
_cell_length_c 8.6409
_cell_angle_alpha 90.00
_cell_angle_beta 101.42
_cell_angle_gamma 90.00
loop_
_space_group_symop_operation_xyz
'x,y,z'
'-x,-y,-z'
'-x,y+1/2,-z+1/2'
'x,-y+1/2,z+1/2'
loop_
_atom_site_label
_atom_site_fract_x
_atom_site_fract_y
_atom_site_fract_z
_atom_site_occupancy
Hg1 0.0017 0.1334 0.2979 1
Hg2 0.3289 0.6217 0.9070 1
Se1 0.1396 0.5923 0.6673 1
Cl1 0.1750 0.1083 0.5923 1
Cl2 0.4947 0.2063 0.3785 1
```



Diffraction record for Ga2Pd7Pt2. The powder XRD pattern is simulated, not measured: it uses DFT lattice parameters and positions (GGA-PBE) and λ = 1.5418 Å (Cu Kα).
Neutral-atom scattering factors, no anomalous dispersion.

Main lines, in order of rising 2θ (2θ from 10° to 90°):
2θ 36.95, d = 2.433 Å, I 61, (2 0 -1)
2θ 37.18, d = 2.418 Å, I 92, (-1 2 1)
2θ 37.53, d = 2.396 Å, I 100, (0 2 -2)
2θ 40.47, d = 2.229 Å, I 49, (1 0 2)
2θ 43.93, d = 2.061 Å, I 50, (-2 2 1)
2θ 44.28, d = 2.045 Å, I 67, (1 0 -3)

Atomic structure:
```
data_Ga2Pd7Pt2
_chemical_formula_sum 'Ga2 Pd7 Pt2'
_space_group_name_H-M_alt 'P -1'
_space_group_IT_number 2
_cell_length_a 5.0752
_cell_length_b 5.9614
_cell_length_c 6.3493
_cell_angle_alpha 102.70
_cell_angle_beta 102.42
_cell_angle_gamma 105.34
loop_
_space_group_symop_operation_xyz
'x,y,z'
'-x,-y,-z'
loop_
_atom_site_label
_atom_site_fract_x
_atom_site_fract_y
_atom_site_fract_z
_atom_site_occupancy
Ga1 0.1876 0.3372 0.2561 1
Pd1 0.2528 0.0217 0.9577 1
Pd2 0.2862 0.6428 0.6286 1
Pd3 0.3048 0.1291 0.5653 1
Pd4 0.5000 0.5000 0.0000 1
Pt1 0.0900 0.7115 0.2022 1
```



Diffraction record for KTe2I4. The powder XRD pattern is simulated, not measured: it uses DFT lattice parameters and positions (GGA-PBE) and λ = 1.5418 Å (Cu Kα).
Neutral-atom scattering factors, no anomalous dispersion.

Main lines, in order of rising 2θ (2θ from 10° to 90°):
2θ 10.68, d = 8.283 Å, I 43, (0 0 2)
2θ 22.92, d = 3.880 Å, I 31, (2 2 2)
2θ 24.88, d = 3.579 Å, I 100, (1 3 3)
2θ 26.45, d = 3.370 Å, I 54, (3 1 1)
2θ 33.86, d = 2.647 Å, I 27, (1 5 3)
2θ 35.77, d = 2.510 Å, I 24, (2 4 4)

Atomic structure:
```
data_KTe2I4
_chemical_formula_sum 'K8 Te16 I32'
_space_group_name_H-M_alt 'F 2 2 2'
_space_group_IT_number 22
_space_group_name_Hall 'F 2 2'
_cell_length_a 10.5834
_cell_length_b 15.7352
_cell_length_c 16.5667
_cell_angle_alpha 90.00
_cell_angle_beta 90.00
_cell_angle_gamma 90.00
loop_
_atom_site_label
_atom_site_fract_x
_atom_site_fract_y
_atom_site_fract_z
_atom_site_occupancy
K1 0.0000 0.0000 0.0000 1
K2 0.2500 0.2500 0.2500 1
Te1 0.1237 0.0633 0.7204 1
I1 0.0561 0.1727 0.8573 1
I2 0.1765 0.0773 0.3938 1
```



Diffraction record for LiMgPt. The powder XRD pattern is simulated, not measured: it uses DFT lattice parameters and positions (GGA-PBE) and λ = 1.5418 Å (Cu Kα).
Neutral-atom scattering factors, no anomalous dispersion.

Main lines, in order of rising 2θ (2θ from 10° to 90°):
2θ 22.54, d = 3.944 Å, I 100, (1 0 1)
2θ 25.04, d = 3.556 Å, I 44, (0 0 2)
2θ 37.97, d = 2.370 Å, I 20, (2 0 0)
2θ 39.67, d = 2.272 Å, I 69, (1 2 1)
2θ 41.22, d = 2.190 Å, I 28, (0 2 2)
2θ 42.64, d = 2.120 Å, I 29, (1 0 3)

Atomic structure:
```
data_LiMgPt
_chemical_formula_sum 'Li4 Mg4 Pt4'
_space_group_name_H-M_alt 'I m m a'
_space_group_IT_number 74
_space_group_name_Hall '-I 2b 2'
_cell_length_a 4.7399
_cell_length_b 5.5587
_cell_length_c 7.1123
_cell_angle_alpha 90.00
_cell_angle_beta 90.00
_cell_angle_gamma 90.00
loop_
_atom_site_label
_atom_site_fract_x
_atom_site_fract_y
_atom_site_fract_z
_atom_site_occupancy
Li1 0.2500 0.2500 0.2500 1
Mg1 0.0000 0.2500 0.6295 1
Pt1 0.0000 0.0000 0.0000 1
```



Diffraction record for CeTh2Os. The powder XRD pattern is simulated, not measured: it uses DFT lattice parameters and positions (GGA-PBE) and λ = 1.5418 Å (Cu Kα).
Neutral-atom scattering factors, no anomalous dispersion.

Main lines, in order of rising 2θ (2θ from 10° to 90°):
2θ 30.84, d = 2.899 Å, I 100, (0 3 1)
2θ 32.00, d = 2.797 Å, I 61, (1 1 2)
2θ 33.30, d = 2.691 Å, I 78, (1 3 1)
2θ 33.99, d = 2.638 Å, I 76, (2 2 1)
2θ 35.84, d = 2.506 Å, I 60, (1 2 2)
2θ 37.25, d = 2.414 Å, I 50, (2 3 0)

Atomic structure:
```
data_CeTh2Os
_chemical_formula_sum 'Ce4 Th8 Os4'
_space_group_name_H-M_alt 'P n m a'
_space_group_IT_number 62
_cell_length_a 7.1922
_cell_length_b 9.7696
_cell_length_c 6.3881
_cell_angle_alpha 90.00
_cell_angle_beta 90.00
_cell_angle_gamma 90.00
loop_
_space_group_symop_operation_xyz
'x,y,z'
'-x,-y,-z'
'-x+1/2,-y,z+1/2'
'x+1/2,y,-z+1/2'
'x+1/2,-y+1/2,-z+1/2'
'-x+1/2,y+1/2,z+1/2'
'-x,y+1/2,-z'
'x,-y+1/2,z'
loop_
_atom_site_label
_atom_site_fract_x
_atom_site_fract_y
_atom_site_fract_z
_atom_site_occupancy
Ce1 0.0387 0.2500 0.1583 1
Th1 0.1760 0.0612 0.6591 1
Os1 0.1293 0.7500 0.4354 1
```



Diffraction record for ZnGa6Sn. The powder XRD pattern is simulated, not measured: it uses DFT lattice parameters and positions (GGA-PBE) and λ = 1.5418 Å (Cu Kα).
Neutral-atom scattering factors, no anomalous dispersion.

Main lines, in order of rising 2θ (2θ from 10° to 90°):
2θ 36.49, d = 2.462 Å, I 100, (1 1 2)
2θ 41.55, d = 2.174 Å, I 36, (2 0 0)
2θ 44.03, d = 2.057 Å, I 13, (0 0 4)
2θ 60.21, d = 1.537 Å, I 12, (2 2 0)
2θ 62.14, d = 1.494 Å, I 19, (2 0 4)
2θ 72.50, d = 1.304 Å, I 26, (3 1 2)

Atomic structure:
```
data_ZnGa6Sn
_chemical_formula_sum 'Zn1 Ga6 Sn1'
_space_group_name_H-M_alt 'P 4/m m m'
_space_group_IT_number 123
_space_group_name_Hall '-P 4 2'
_cell_length_a 4.3472
_cell_length_b 4.3472
_cell_length_c 8.2262
_cell_angle_alpha 90.00
_cell_angle_beta 90.00
_cell_angle_gamma 90.00
loop_
_atom_site_label
_atom_site_fract_x
_atom_site_fract_y
_atom_site_fract_z
_atom_site_occupancy
Zn1 0.0000 0.0000 0.0000 1
Ga1 0.0000 0.5000 0.2286 1
Ga2 0.5000 0.5000 0.0000 1
Ga3 0.5000 0.5000 0.5000 1
Sn1 0.0000 0.0000 0.5000 1
```



Diffraction record for SmSc2Al2. The powder XRD pattern is simulated, not measured: it uses DFT lattice parameters and positions (GGA-PBE) and λ = 1.5418 Å (Cu Kα).
Neutral-atom scattering factors, no anomalous dispersion.

Main lines, in order of rising 2θ (2θ from 10° to 90°):
2θ 15.03, d = 5.895 Å, I 32, (0 0 1)
2θ 25.73, d = 3.462 Å, I 100, (1 0 1)
2θ 36.38, d = 2.470 Å, I 64, (1 1 0)
2θ 37.04, d = 2.427 Å, I 62, (0 1 2)
2θ 52.89, d = 1.731 Å, I 22, (2 0 2)
2θ 65.89, d = 1.418 Å, I 22, (1 2 2)

Atomic structure:
```
data_SmSc2Al2
_chemical_formula_sum 'Sm1 Sc2 Al2'
_space_group_name_H-M_alt 'P -3 m 1'
_space_group_IT_number 164
_space_group_name_Hall '-P 3 2"'
_cell_length_a 4.9397
_cell_length_b 4.9397
_cell_length_c 5.8947
_cell_angle_alpha 90.00
_cell_angle_beta 90.00
_cell_angle_gamma 120.00
loop_
_atom_site_label
_atom_site_fract_x
_atom_site_fract_y
_atom_site_fract_z
_atom_site_occupancy
Sm1 0.0000 0.0000 0.0000 1
Sc1 0.3333 0.6667 0.6486 1
Al1 0.3333 0.6667 0.1700 1
```